(1)
This entry pairs a crystal structure of CaLaVCrO6 with its calculated XRD peak list. Radiation: copper Kα. Structure: a structure optimized by DFT (PBE+U).

Crystal structure
Cell lengths 5.455, 5.528, 9.507 Å; angles 90.00, 124.66, 90.00 degrees
Space group Pc (No. 7)
Asymmetric unit:
1 Ca 0.000 0.208 0.000 (multiplicity 2)
2 La 0.516 0.283 0.501 (multiplicity 2)
3 V 0.759 0.249 0.250 (multiplicity 2)
4 Cr 0.261 0.250 0.751 (multiplicity 2)
5 O 0.000 0.455 0.211 (multiplicity 2)
6 O 0.082 0.228 0.499 (multiplicity 2)
7 O 0.430 0.270 0.002 (multiplicity 2)
8 O 0.522 0.039 0.287 (multiplicity 2)
9 O 0.596 0.464 0.796 (multiplicity 2)
10 O 0.932 0.034 0.708 (multiplicity 2)

Peak list (6 most intense, 2θ from 10° to 90°, by angle)
- 2θ 19.67, intensity 32, (0 1 1)
- 2θ 32.41, intensity 100, (1 1 1)
- 2θ 32.57, intensity 67, (1 1 -3)
- 2θ 32.84, intensity 31, (2 0 -2)
- 2θ 46.79, intensity 42, (2 2 -2)
- 2θ 57.80, intensity 32, (2 0 2)

=====

(2)
This entry pairs a crystal structure of K6Co2O5 with its calculated XRD peak list. Radiation: copper Kα. Structure: a structure optimized by DFT (PBE+U).

Crystal structure
Cell lengths 6.660, 6.660, 11.959 Å; angles 90.00, 90.00, 90.00 degrees
Space group P4_2/mnm (No. 136)
Asymmetric unit:
1 K 0.000 0.000 0.219 (multiplicity 4)
2 K 0.000 0.500 0.250 (multiplicity 4)
3 K 0.180 0.180 0.500 (multiplicity 4)
4 Co 0.206 0.206 0.000 (multiplicity 4)
5 O 0.000 0.000 0.000 (multiplicity 2)
6 O 0.212 0.788 0.362 (multiplicity 8)

Peak list (6 most intense, 2θ from 10° to 90°, by angle)
- 2θ 20.27, intensity 28, (1 1 1)
- 2θ 29.88, intensity 29, (0 0 4)
- 2θ 30.73, intensity 100, (2 0 2)
- 2θ 33.61, intensity 29, (2 1 2)
- 2θ 38.22, intensity 40, (2 2 0)
- 2θ 42.86, intensity 21, (2 1 4)

=====

Copy entry 1 word for word.
This entry pairs a crystal structure of CaLaVCrO6 with its calculated XRD peak list. Radiation: copper Kα. Structure: a structure optimized by DFT (PBE+U).

Crystal structure
Cell lengths 5.455, 5.528, 9.507 Å; angles 90.00, 124.66, 90.00 degrees
Space group Pc (No. 7)
Asymmetric unit:
1 Ca 0.000 0.208 0.000 (multiplicity 2)
2 La 0.516 0.283 0.501 (multiplicity 2)
3 V 0.759 0.249 0.250 (multiplicity 2)
4 Cr 0.261 0.250 0.751 (multiplicity 2)
5 O 0.000 0.455 0.211 (multiplicity 2)
6 O 0.082 0.228 0.499 (multiplicity 2)
7 O 0.430 0.270 0.002 (multiplicity 2)
8 O 0.522 0.039 0.287 (multiplicity 2)
9 O 0.596 0.464 0.796 (multiplicity 2)
10 O 0.932 0.034 0.708 (multiplicity 2)

Peak list (6 most intense, 2θ from 10° to 90°, by angle)
- 2θ 19.67, intensity 32, (0 1 1)
- 2θ 32.41, intensity 100, (1 1 1)
- 2θ 32.57, intensity 67, (1 1 -3)
- 2θ 32.84, intensity 31, (2 0 -2)
- 2θ 46.79, intensity 42, (2 2 -2)
- 2θ 57.80, intensity 32, (2 0 2)